(1)
This entry pairs a crystal structure of PtRh2Au with its calculated powder XRD pattern. Radiation: Cu Kα. Structure: a DFT-relaxed cell (GGA-PBE, Alexandria).
Neutral-atom scattering factors, no anomalous dispersion.

Most intense lines, 5 to 70 degrees two-theta, in order of falling intensity:
hkl 1 1 2, 39.5°, d = 2.282 Å, intensity 100
hkl 2 0 0, 45.6°, d = 1.990 Å, intensity 33
hkl 2 0 4, 67.2°, d = 1.393 Å, intensity 21
hkl 0 0 4, 46.5°, d = 1.951 Å, intensity 16
hkl 2 2 0, 66.4°, d = 1.407 Å, intensity 11
hkl 0 0 2, 22.8°, d = 3.902 Å, intensity 8
hkl 1 1 0, 31.8°, d = 2.814 Å, intensity 8
hkl 2 0 2, 51.6°, d = 1.773 Å, intensity 4
hkl 1 1 4, 57.5°, d = 1.603 Å, intensity 3

Structure:
```
data_PtRh2Au
_cell_length_a 3.9795
_cell_length_b 3.9795
_cell_length_c 7.8048
_cell_angle_alpha 90.00
_cell_angle_beta 90.00
_cell_angle_gamma 90.00
_space_group_name_H-M_alt 'I 4/m m m'
_space_group_IT_number 139
_space_group_name_Hall '-I 4 2'
loop_
_atom_site_label
_atom_site_type_symbol
_atom_site_fract_x
_atom_site_fract_y
_atom_site_fract_z
_atom_site_occupancy
Pt1 Pt 0.0000 0.0000 0.0000 1
Rh1 Rh 0.0000 0.5000 0.2500 1
Au1 Au 0.0000 0.0000 0.5000 1
```

---

(2)
This entry pairs a crystal structure of ZrCrAgS4 with its calculated powder XRD pattern. Radiation: Cu Kα. Structure: a DFT-relaxed cell (GGA-PBE, Alexandria).
Neutral-atom scattering factors, no anomalous dispersion.

Most intense lines, 5 to 70 degrees two-theta, in order of falling intensity:
hkl 1 1 3, 32.9°, d = 2.726 Å, intensity 100
hkl 0 2 2, 20.7°, d = 4.300 Å, intensity 74
hkl 1 4 1, 41.1°, d = 2.194 Å, intensity 71
hkl 0 4 2, 34.6°, d = 2.593 Å, intensity 64
hkl 1 0 3, 31.8°, d = 2.810 Å, intensity 61
hkl 0 3 2, 27.3°, d = 3.271 Å, intensity 56
hkl 2 0 0, 50.3°, d = 1.814 Å, intensity 46
hkl 1 2 4, 40.1°, d = 2.249 Å, intensity 41
hkl 0 5 4, 48.8°, d = 1.865 Å, intensity 39
hkl 1 0 1, 25.4°, d = 3.501 Å, intensity 39

Structure:
```
data_ZrCrAgS4
_cell_length_a 3.6287
_cell_length_b 11.2647
_cell_length_c 13.3187
_cell_angle_alpha 90.00
_cell_angle_beta 90.00
_cell_angle_gamma 90.00
_space_group_name_H-M_alt 'P m n 21'
_space_group_IT_number 31
loop_
_space_group_symop_operation_xyz
'x,y,z'
'-x+1/2,-y,z+1/2'
'-x,y,z'
'x+1/2,-y,z+1/2'
loop_
_atom_site_label
_atom_site_type_symbol
_atom_site_fract_x
_atom_site_fract_y
_atom_site_fract_z
_atom_site_occupancy
Zr1 Zr 0.0000 0.1449 0.0000 1
Zr2 Zr 0.0000 0.6642 0.1888 1
Cr1 Cr 0.0000 0.2239 0.4812 1
Cr2 Cr 0.0000 0.6965 0.6938 1
Ag1 Ag 0.0000 0.0097 0.3224 1
Ag2 Ag 0.0000 0.5305 0.4148 1
S1 S 0.0000 0.1854 0.6584 1
S2 S 0.0000 0.2427 0.3008 1
S3 S 0.0000 0.3524 0.0782 1
S4 S 0.0000 0.4837 0.7549 1
S5 S 0.0000 0.6327 0.0019 1
S6 S 0.0000 0.7880 0.3708 1
S7 S 0.0000 0.8943 0.6293 1
S8 S 0.0000 0.9190 0.9692 1
```

---

Please write out number 2 again, unchanged.
This entry pairs a crystal structure of ZrCrAgS4 with its calculated powder XRD pattern. Radiation: Cu Kα. Structure: a DFT-relaxed cell (GGA-PBE, Alexandria).
Neutral-atom scattering factors, no anomalous dispersion.

Most intense lines, 5 to 70 degrees two-theta, in order of falling intensity:
hkl 1 1 3, 32.9°, d = 2.726 Å, intensity 100
hkl 0 2 2, 20.7°, d = 4.300 Å, intensity 74
hkl 1 4 1, 41.1°, d = 2.194 Å, intensity 71
hkl 0 4 2, 34.6°, d = 2.593 Å, intensity 64
hkl 1 0 3, 31.8°, d = 2.810 Å, intensity 61
hkl 0 3 2, 27.3°, d = 3.271 Å, intensity 56
hkl 2 0 0, 50.3°, d = 1.814 Å, intensity 46
hkl 1 2 4, 40.1°, d = 2.249 Å, intensity 41
hkl 0 5 4, 48.8°, d = 1.865 Å, intensity 39
hkl 1 0 1, 25.4°, d = 3.501 Å, intensity 39

Structure:
```
data_ZrCrAgS4
_cell_length_a 3.6287
_cell_length_b 11.2647
_cell_length_c 13.3187
_cell_angle_alpha 90.00
_cell_angle_beta 90.00
_cell_angle_gamma 90.00
_space_group_name_H-M_alt 'P m n 21'
_space_group_IT_number 31
loop_
_space_group_symop_operation_xyz
'x,y,z'
'-x+1/2,-y,z+1/2'
'-x,y,z'
'x+1/2,-y,z+1/2'
loop_
_atom_site_label
_atom_site_type_symbol
_atom_site_fract_x
_atom_site_fract_y
_atom_site_fract_z
_atom_site_occupancy
Zr1 Zr 0.0000 0.1449 0.0000 1
Zr2 Zr 0.0000 0.6642 0.1888 1
Cr1 Cr 0.0000 0.2239 0.4812 1
Cr2 Cr 0.0000 0.6965 0.6938 1
Ag1 Ag 0.0000 0.0097 0.3224 1
Ag2 Ag 0.0000 0.5305 0.4148 1
S1 S 0.0000 0.1854 0.6584 1
S2 S 0.0000 0.2427 0.3008 1
S3 S 0.0000 0.3524 0.0782 1
S4 S 0.0000 0.4837 0.7549 1
S5 S 0.0000 0.6327 0.0019 1
S6 S 0.0000 0.7880 0.3708 1
S7 S 0.0000 0.8943 0.6293 1
S8 S 0.0000 0.9190 0.9692 1
```